Simulated powder X-ray diffraction pattern
Compound: Ca3PmF8
Radiation: Cu Kα (weighted mean of Kα1 and Kα2)
Structure: a DFT-relaxed cell (GGA-PBE, Alexandria)
Intensities are scaled so that the largest is 100.

Structure:
```
Ca3PmF8
1.0
5.583 0.000 0.000
0.000 5.583 0.000
0.000 0.000 5.583
Ca Pm F
3 1 8
direct
0.000 0.000 0.500
0.000 0.500 0.000
0.500 0.000 0.000
0.500 0.500 0.500
0.246 0.246 0.246
0.246 0.246 0.754
0.246 0.754 0.246
0.246 0.754 0.754
0.754 0.246 0.246
0.754 0.246 0.754
0.754 0.754 0.246
0.754 0.754 0.754
```

The 12 most intense peaks (10 to 80 degrees two-theta), by intensity:
| 2theta | d/Å | I/Imax |
| --- | --- | --- |
| 27.67 | 3.223 | 100 |
| 45.98 | 1.974 | 85 |
| 54.51 | 1.683 | 42 |
| 15.87 | 5.583 | 35 |
| 22.52 | 3.948 | 35 |
| 35.97 | 2.497 | 23 |
| 39.54 | 2.279 | 17 |
| 74.01 | 1.281 | 16 |
| 67.05 | 1.396 | 12 |
| 48.94 | 1.861 | 12 |
| 62.22 | 1.492 | 9 |
| 32.06 | 2.792 | 9 |